[1]
For Rb5Mn2S5, the PBE geometry in Alexandria gives the simulated powder X-ray diffraction pattern in this record (Cu Ka).
Intensities are scaled so that the largest is 100.

Structural model:
```
Rb5Mn2S5
1.0
4.2126 0.0000 0.0000
-2.1048 7.5493 0.0000
-0.0013 -1.9119 11.1209
Rb Mn S
5 2 5
Direct
0.0000 0.0000 0.0000
0.1517 0.3032 0.5916
0.2824 0.5647 0.8728
0.7176 0.4353 0.1272
0.8483 0.6968 0.4084
0.4746 0.9483 0.7000
0.5254 0.0517 0.3000
0.1084 0.2173 0.2869
0.3907 0.7818 0.1648
0.5000 0.0000 0.5000
0.6093 0.2182 0.8352
0.8916 0.7827 0.7131
```

The 10 most intense peaks (2θ = 10–90°), in order of falling intensity:
28.07°, I = 100
32.41°, I = 47
33.50°, I = 43
28.67°, I = 33
30.59°, I = 30
42.94°, I = 28
31.11°, I = 20
29.80°, I = 20
54.81°, I = 20
23.90°, I = 17

***

[2]
For RbMn5S8, the PBE geometry in Alexandria gives the simulated powder X-ray diffraction pattern in this record (Cu Ka).
Intensities are scaled so that the largest is 100.

Structural model:
```
RbMn5S8
1.0
8.7953 -1.7302 0.0000
8.7953 1.7302 0.0000
-2.3237 0.0000 8.3899
Rb Mn S
1 5 8
Direct
0.0000 0.0000 0.0000
0.1632 0.1632 0.4982
0.2051 0.2051 0.8353
0.5000 0.5000 0.5000
0.7949 0.7949 0.1647
0.8368 0.8368 0.5018
0.0733 0.0733 0.6577
0.2572 0.2572 0.3421
0.3322 0.3322 0.0132
0.4104 0.4104 0.6567
0.5896 0.5896 0.3433
0.6678 0.6678 0.9868
0.7428 0.7428 0.6579
0.9267 0.9267 0.3423
```

The 10 most intense peaks (2θ = 10–90°), in order of falling intensity:
33.57°, I = 100
53.91°, I = 69
41.26°, I = 67
47.83°, I = 56
33.16°, I = 48
34.64°, I = 46
21.18°, I = 44
20.81°, I = 40
52.92°, I = 37
43.11°, I = 37

***

[3]
For Rb2MnS3, the PBE geometry in Alexandria gives the simulated powder X-ray diffraction pattern in this record (Cu Ka).
Intensities are scaled so that the largest is 100.

Structural model:
```
Rb2MnS3
1.0
3.4863 -6.7868 0.0000
3.4863 6.7868 0.0000
-0.0020 0.0000 15.8196
Rb Mn S
8 4 12
Direct
0.0650 0.4335 0.3495
0.1423 0.3578 0.9271
0.3578 0.1423 0.4271
0.4335 0.0650 0.8495
0.5665 0.9350 0.1505
0.6422 0.8577 0.5729
0.8577 0.6422 0.0729
0.9350 0.5665 0.6505
0.2499 0.2504 0.1677
0.2504 0.2499 0.6677
0.7496 0.7501 0.3323
0.7501 0.7496 0.8323
0.0343 0.9657 0.2500
0.0975 0.4042 0.1372
0.1596 0.3401 0.5576
0.3401 0.1596 0.0576
0.4042 0.0975 0.6372
0.4653 0.5347 0.7500
0.5347 0.4653 0.2500
0.5958 0.9025 0.3628
0.6599 0.8404 0.9424
0.8404 0.6599 0.4424
0.9025 0.5958 0.8628
0.9657 0.0343 0.7500
```

The 10 most intense peaks (2θ = 10–90°), in order of falling intensity:
25.55°, I = 100
26.04°, I = 89
31.19°, I = 68
26.87°, I = 48
40.74°, I = 46
34.29°, I = 42
26.73°, I = 26
28.62°, I = 25
22.48°, I = 25
24.11°, I = 23

***

[4]
For RbMnSbS3, the PBE geometry in Alexandria gives the simulated powder X-ray diffraction pattern in this record (Cu Ka).
Intensities are scaled so that the largest is 100.

Structural model:
```
RbMnSbS3
1.0
9.3809 0.0000 0.0000
0.0000 4.0692 0.0000
-2.3374 0.0000 9.4501
Rb Mn Sb S
2 2 2 6
Direct
0.1753 0.2500 0.2175
0.8247 0.7500 0.7825
0.0997 0.2500 0.6026
0.9003 0.7500 0.3974
0.3532 0.7500 0.8619
0.6468 0.2500 0.1381
0.1560 0.2500 0.8571
0.1696 0.7500 0.4978
0.4268 0.7500 0.1236
0.5732 0.2500 0.8764
0.8304 0.2500 0.5022
0.8440 0.7500 0.1429
```

The 10 most intense peaks (2θ = 10–90°), in order of falling intensity:
29.44°, I = 100
11.77°, I = 69
23.65°, I = 31
28.33°, I = 23
44.68°, I = 20
45.67°, I = 19
44.53°, I = 18
28.96°, I = 18
37.72°, I = 18
35.51°, I = 14

***

[5]
For Rb2SrMnS4, the PBE geometry in Alexandria gives the simulated powder X-ray diffraction pattern in this record (Cu Ka).
Intensities are scaled so that the largest is 100.

Structural model:
```
Rb2SrMnS4
1.0
8.2877 0.0000 0.0000
0.0000 9.8212 0.0000
0.0000 0.0000 6.3544
Rb Sr Mn S
4 2 2 8
Direct
0.2182 0.1370 0.0000
0.2818 0.8630 0.5000
0.7182 0.8630 0.5000
0.7818 0.1370 0.0000
0.0000 0.3958 0.4915
0.5000 0.6042 0.9915
0.0000 0.6660 0.9275
0.5000 0.3340 0.4275
0.0000 0.4422 0.9916
0.0000 0.6728 0.5887
0.2153 0.7926 0.0074
0.2847 0.2074 0.5074
0.5000 0.3272 0.0887
0.5000 0.5578 0.4916
0.7153 0.2074 0.5074
0.7847 0.7926 0.0074
```

The 10 most intense peaks (2θ = 10–90°), in order of falling intensity:
23.30°, I = 100
28.09°, I = 79
22.89°, I = 71
36.80°, I = 50
34.93°, I = 39
27.25°, I = 34
45.40°, I = 27
37.77°, I = 26
46.73°, I = 22
58.24°, I = 19

***

[6]
For Rb2TaMn2S6, the PBE geometry in Alexandria gives the simulated powder X-ray diffraction pattern in this record (Cu Ka).
Intensities are scaled so that the largest is 100.

Structural model:
```
Rb2TaMn2S6
1.0
2.9668 -5.1837 0.0000
2.9668 5.1837 0.0000
-1.8033 0.0000 7.8585
Rb Ta Mn S
2 1 2 6
Direct
0.1643 0.8357 0.0000
0.8357 0.1643 0.0000
0.0000 0.0000 0.5000
0.3414 0.6586 0.5000
0.6586 0.3414 0.5000
0.0522 0.4015 0.6692
0.2988 0.2988 0.3225
0.4015 0.0522 0.6692
0.5985 0.9478 0.3308
0.7012 0.7012 0.6775
0.9478 0.5985 0.3308
```

The 10 most intense peaks (2θ = 10–90°), in order of falling intensity:
33.49°, I = 100
11.26°, I = 88
34.14°, I = 50
17.56°, I = 47
22.63°, I = 44
20.53°, I = 37
30.96°, I = 37
43.38°, I = 34
53.38°, I = 28
25.87°, I = 24

***

[7]
For Rb2U2MnS6, the PBE geometry in Alexandria gives the simulated powder X-ray diffraction pattern in this record (Cu Ka).
Intensities are scaled so that the largest is 100.

Structural model:
```
Rb2U2MnS6
1.0
3.4042 -5.9010 0.0000
3.4042 5.9010 0.0000
-2.2088 0.0000 7.8717
Rb U Mn S
2 2 1 6
Direct
0.1646 0.8354 0.0000
0.8354 0.1646 0.0000
0.3342 0.6658 0.5000
0.6658 0.3342 0.5000
0.0000 0.0000 0.5000
0.0587 0.3890 0.6834
0.2627 0.2627 0.3191
0.3890 0.0587 0.6834
0.6110 0.9413 0.3166
0.7373 0.7373 0.6809
0.9413 0.6110 0.3166
```

The 10 most intense peaks (2θ = 10–90°), in order of falling intensity:
11.24°, I = 100
30.24°, I = 87
27.25°, I = 61
46.16°, I = 48
30.41°, I = 41
22.59°, I = 34
40.51°, I = 34
16.85°, I = 30
26.44°, I = 22
21.22°, I = 18

***

[8]
For Rb2UMnS6, the PBE geometry in Alexandria gives the simulated powder X-ray diffraction pattern in this record (Cu Ka).
Intensities are scaled so that the largest is 100.

Structural model:
```
Rb2UMnS6
1.0
-3.4050 3.4050 5.4585
3.4050 -3.4050 5.4585
3.4050 3.4050 -5.4585
Rb U Mn S
2 1 1 6
Direct
0.0000 0.5000 0.5000
0.5000 0.0000 0.5000
0.2527 0.2527 0.0000
0.7044 0.7044 0.0000
0.0320 0.0320 0.0000
0.4922 0.4922 0.0000
0.5199 0.5199 0.5339
0.5199 0.9859 0.0000
0.9859 0.5199 0.0000
0.9859 0.9859 0.4661
```

The 10 most intense peaks (2θ = 10–90°), in order of falling intensity:
24.65°, I = 100
15.34°, I = 53
37.35°, I = 48
26.17°, I = 45
45.27°, I = 39
50.55°, I = 34
32.82°, I = 31
30.47°, I = 30
53.86°, I = 26
18.43°, I = 22